[1]
Starting from a structure optimized by DFT (PBE+U), the PXRD pattern of CaCoGe4O12 was simulated for Cu Kα (weighted mean of Kα1 and Kα2).
Intensities are scaled so that the largest is 100.

Top 10 peaks for 10 to 80 degrees two-theta, most intense first:
33.17 deg, 2.701 Å, rel. 100, hkl 2 2 0; 34.57 deg, 2.595 Å, rel. 98, hkl 0 2 2; 20.89 deg, 4.252 Å, rel. 77, hkl 1 1 1; 23.99 deg, 3.710 Å, rel. 76, hkl 2 0 0; 25.84 deg, 3.448 Å, rel. 70, hkl 0 0 2; 35.55 deg, 2.526 Å, rel. 63, hkl 2 0 2; 22.57 deg, 3.939 Å, rel. 61, hkl 0 2 0; 49.12 deg, 1.855 Å, rel. 49, hkl 4 0 0; 36.62 deg, 2.454 Å, rel. 43, hkl 0 3 1; 61.45 deg, 1.509 Å, rel. 39, hkl 4 2 2

```
data_CaCoGe4O12
_symmetry_space_group_name_H-M 'A m m 2'
_symmetry_Int_Tables_number 38
_cell_length_a 7.419
_cell_length_b 7.878
_cell_length_c 6.896
_cell_angle_alpha 90.00
_cell_angle_beta 90.00
_cell_angle_gamma 90.00
loop_
_symmetry_equiv_pos_as_xyz
'x,y,z'
'-x,-y,z'
'-x,y,z'
'x,-y,z'
'x,y+1/2,z+1/2'
'-x,-y+1/2,z+1/2'
'-x,y+1/2,z+1/2'
'x,-y+1/2,z+1/2'
loop_
_atom_site_label
_atom_site_type_symbol
_atom_site_fract_x
_atom_site_fract_y
_atom_site_fract_z
Ca1 Ca 0.000 0.000 0.000
Co1 Co 0.500 0.000 0.635
Ge1 Ge 0.255 0.222 0.315
O1 O 0.000 0.206 0.313
O2 O 0.244 0.000 0.744
O3 O 0.244 0.178 0.054
O4 O 0.315 0.000 0.402
O5 O 0.500 0.209 0.777
```



[2]
Starting from a structure optimized by DFT (PBE+U), the PXRD pattern of K2W2O5 was simulated for Cu Kα (weighted mean of Kα1 and Kα2).
Intensities are scaled so that the largest is 100.

Top 10 peaks for 10 to 80 degrees two-theta, most intense first:
31.30 deg, 2.858 Å, rel. 100, hkl 1 1 1; 21.77 deg, 4.082 Å, rel. 71, hkl 1 1 -1; 30.99 deg, 2.886 Å, rel. 55, hkl 2 0 -1; 22.20 deg, 4.004 Å, rel. 30, hkl 0 0 2; 44.39 deg, 2.041 Å, rel. 30, hkl 2 -2 0; 55.28 deg, 1.662 Å, rel. 26, hkl -1 3 1; 55.90 deg, 1.645 Å, rel. 16, hkl 2 0 3; 50.80 deg, 1.797 Å, rel. 15, hkl 1 1 3; 55.37 deg, 1.659 Å, rel. 15, hkl 3 1 -4; 50.17 deg, 1.818 Å, rel. 15, hkl 2 -2 2

```
data_K2W2O5
_symmetry_space_group_name_H-M 'P 1'
_symmetry_Int_Tables_number 1
_cell_length_a 5.765
_cell_length_b 5.779
_cell_length_c 8.986
_cell_angle_alpha 108.74
_cell_angle_beta 108.66
_cell_angle_gamma 90.07
loop_
_symmetry_equiv_pos_as_xyz
'x,y,z'
loop_
_atom_site_label
_atom_site_type_symbol
_atom_site_fract_x
_atom_site_fract_y
_atom_site_fract_z
K1 K 0.000 0.000 0.000
K2 K 0.244 0.258 0.492
K3 K 0.498 0.513 0.000
K4 K 0.745 0.745 0.492
W1 W 0.122 0.629 0.246
W2 W 0.375 0.880 0.746
W3 W 0.622 0.129 0.246
W4 W 0.868 0.378 0.746
O1 O 0.121 0.630 0.746
O2 O 0.252 0.785 0.507
O3 O 0.355 0.861 0.237
O4 O 0.377 0.382 0.254
O5 O 0.493 0.025 0.985
O6 O 0.621 0.628 0.746
O7 O 0.750 0.232 0.507
O8 O 0.867 0.876 0.237
O9 O 0.889 0.397 0.255
O10 O 0.992 0.472 0.985
```